Starting from DFT lattice parameters and positions (GGA-PBE), the powder XRD pattern of CsRe8 was calculated for Cu Kα.
No peak broadening, texture or thermal motion is included.

Top 12 peaks for 2θ = 10–90°, low angle first:
2theta, d [Å], Rel. int.
23.2, 3.830, 65
30.9, 2.895, 19
32.6, 2.747, 47
40.4, 2.232, 65
40.8, 2.211, 100
53.2, 1.723, 65
58.8, 1.571, 19
62.8, 1.480, 12
74.0, 1.281, 19
74.3, 1.277, 14
82.7, 1.167, 27
83.5, 1.158, 14

Crystal structure
```
data_CsRe8
_chemical_formula_sum 'Cs1 Re8'
_space_group_name_H-M_alt 'P 1'
_space_group_IT_number 1
_space_group_name_Hall 'P 1'
_cell_length_a 8.8457
_cell_length_b 8.8457
_cell_length_c 2.7473
_cell_angle_alpha 90.00
_cell_angle_beta 90.00
_cell_angle_gamma 120.00
loop_
_atom_site_label
_atom_site_type_symbol
_atom_site_fract_x
_atom_site_fract_y
_atom_site_fract_z
Cs1 Cs 0.0000 0.0000 0.0000
Re1 Re 0.1791 0.3581 0.5000
Re2 Re 0.1791 0.8209 0.5000
Re3 Re 0.3333 0.6667 0.5000
Re4 Re 0.3581 0.1791 0.5000
Re5 Re 0.6419 0.8209 0.5000
Re6 Re 0.6667 0.3333 0.5000
Re7 Re 0.8209 0.1791 0.5000
Re8 Re 0.8209 0.6419 0.5000
```

Starting from DFT lattice parameters and positions (GGA-PBE), the powder XRD pattern of Cs2ReS3 was calculated for Cu Kα.
No peak broadening, texture or thermal motion is included.

Top 12 peaks for 2θ = 10–90°, low angle first:
2theta, d [Å], Rel. int.
12.1, 7.330, 36
23.5, 3.778, 73
24.0, 3.705, 25
26.9, 3.317, 34
27.6, 3.235, 100
33.0, 2.712, 17
36.4, 2.471, 32
36.8, 2.443, 17
45.5, 1.993, 13
47.9, 1.899, 21
51.2, 1.784, 18
53.0, 1.728, 15

Crystal structure
```
data_Cs2ReS3
_chemical_formula_sum 'Cs4 Re2 S6'
_space_group_name_H-M_alt 'P 1'
_space_group_IT_number 1
_space_group_name_Hall 'P 1'
_cell_length_a 7.6165
_cell_length_b 7.6165
_cell_length_c 6.6335
_cell_angle_alpha 90.00
_cell_angle_beta 90.00
_cell_angle_gamma 74.24
loop_
_atom_site_label
_atom_site_type_symbol
_atom_site_fract_x
_atom_site_fract_y
_atom_site_fract_z
Cs1 Cs 0.0088 0.6685 0.7500
Cs2 Cs 0.3315 0.9912 0.7500
Cs3 Cs 0.6685 0.0088 0.2500
Cs4 Cs 0.9912 0.3315 0.2500
Re1 Re 0.4027 0.5973 0.2500
Re2 Re 0.5973 0.4027 0.7500
S1 S 0.1593 0.8407 0.2500
S2 S 0.3844 0.3844 0.0000
S3 S 0.3844 0.3844 0.5000
S4 S 0.6156 0.6156 0.0000
S5 S 0.6156 0.6156 0.5000
S6 S 0.8407 0.1593 0.7500
```

Starting from DFT lattice parameters and positions (GGA-PBE), the powder XRD pattern of Cs2ReSe2S was calculated for Cu Kα.
No peak broadening, texture or thermal motion is included.

Top 12 peaks for 2θ = 10–90°, low angle first:
2theta, d [Å], Rel. int.
12.1, 7.291, 28
13.9, 6.374, 19
14.6, 6.070, 26
14.9, 5.952, 20
21.3, 4.181, 20
22.7, 3.916, 31
23.4, 3.794, 29
24.1, 3.688, 100
25.4, 3.505, 54
25.9, 3.447, 47
39.9, 2.260, 27
46.4, 1.957, 18

Crystal structure
```
data_Cs2ReSe2S
_chemical_formula_sum 'Cs4 Re2 Se4 S2'
_space_group_name_H-M_alt 'P 1'
_space_group_IT_number 1
_space_group_name_Hall 'P 1'
_cell_length_a 7.3832
_cell_length_b 8.0818
_cell_length_c 9.1325
_cell_angle_alpha 74.65
_cell_angle_beta 67.33
_cell_angle_gamma 65.40
loop_
_atom_site_label
_atom_site_type_symbol
_atom_site_fract_x
_atom_site_fract_y
_atom_site_fract_z
Cs1 Cs 0.0894 0.1892 0.1436
Cs2 Cs 0.3250 0.5886 0.3061
Cs3 Cs 0.6750 0.4114 0.6939
Cs4 Cs 0.9106 0.8108 0.8564
Re1 Re 0.3943 0.0509 0.6492
Re2 Re 0.6057 0.9491 0.3508
Se1 Se 0.1908 0.3548 0.7146
Se2 Se 0.3917 0.8285 0.8808
Se3 Se 0.6083 0.1715 0.1192
Se4 Se 0.8092 0.6452 0.2854
S1 S 0.2702 0.9743 0.4941
S2 S 0.7298 0.0257 0.5059
```

Starting from DFT lattice parameters and positions (GGA-PBE), the powder XRD pattern of CsTaReS5 was calculated for Cu Kα.
No peak broadening, texture or thermal motion is included.

Top 12 peaks for 2θ = 10–90°, low angle first:
2theta, d [Å], Rel. int.
12.6, 7.009, 100
15.6, 5.682, 22
19.1, 4.657, 15
20.0, 4.447, 23
20.5, 4.323, 14
23.6, 3.763, 14
24.2, 3.677, 13
25.4, 3.505, 14
25.6, 3.486, 17
25.8, 3.458, 22
28.1, 3.173, 17
34.2, 2.622, 36

Crystal structure
```
data_CsTaReS5
_chemical_formula_sum 'Cs2 Ta2 Re2 S10'
_space_group_name_H-M_alt 'P 1'
_space_group_IT_number 1
_space_group_name_Hall 'P 1'
_cell_length_a 7.2588
_cell_length_b 7.6852
_cell_length_c 8.5375
_cell_angle_alpha 109.98
_cell_angle_beta 96.79
_cell_angle_gamma 100.60
loop_
_atom_site_label
_atom_site_type_symbol
_atom_site_fract_x
_atom_site_fract_y
_atom_site_fract_z
Cs1 Cs 0.1556 0.3976 0.1978
Cs2 Cs 0.8444 0.6024 0.8022
Ta1 Ta 0.2430 0.9844 0.5290
Ta2 Ta 0.7570 0.0156 0.4710
Re1 Re 0.4984 0.0102 0.8363
Re2 Re 0.5016 0.9898 0.1637
S1 S 0.0396 0.2296 0.5050
S2 S 0.1976 0.8916 0.2053
S3 S 0.3070 0.2048 0.8140
S4 S 0.3732 0.7488 0.8845
S5 S 0.4704 0.7981 0.5432
S6 S 0.5296 0.2019 0.4568
S7 S 0.6268 0.2512 0.1155
S8 S 0.6930 0.7952 0.1860
S9 S 0.8024 0.1084 0.7947
S10 S 0.9604 0.7704 0.4950
```

Starting from DFT lattice parameters and positions (GGA-PBE), the powder XRD pattern of Cs2ReTe2Se was calculated for Cu Kα.
No peak broadening, texture or thermal motion is included.

Top 12 peaks for 2θ = 10–90°, low angle first:
2theta, d [Å], Rel. int.
11.6, 7.597, 38
13.5, 6.578, 39
14.0, 6.310, 55
23.0, 3.872, 100
24.2, 3.683, 83
24.4, 3.653, 72
30.5, 2.929, 49
33.6, 2.668, 39
33.7, 2.657, 28
38.2, 2.355, 32
46.9, 1.936, 28
49.8, 1.830, 32

Crystal structure
```
data_Cs2ReTe2Se
_chemical_formula_sum 'Cs4 Re2 Te4 Se2'
_space_group_name_H-M_alt 'P 1'
_space_group_IT_number 1
_space_group_name_Hall 'P 1'
_cell_length_a 8.5909
_cell_length_b 8.5909
_cell_length_c 11.0436
_cell_angle_alpha 121.33
_cell_angle_beta 121.33
_cell_angle_gamma 53.57
loop_
_atom_site_label
_atom_site_type_symbol
_atom_site_fract_x
_atom_site_fract_y
_atom_site_fract_z
Cs1 Cs 0.0866 0.0866 0.3583
Cs2 Cs 0.3003 0.3003 0.1851
Cs3 Cs 0.6997 0.6997 0.8149
Cs4 Cs 0.9134 0.9134 0.6417
Re1 Re 0.4047 0.4047 0.8535
Re2 Re 0.5953 0.5953 0.1465
Te1 Te 0.2103 0.2103 0.7763
Te2 Te 0.3935 0.3935 0.6119
Te3 Te 0.6065 0.6065 0.3881
Te4 Te 0.7897 0.7897 0.2237
Se1 Se 0.2504 0.7496 0.0000
Se2 Se 0.7496 0.2504 0.0000
```

Starting from DFT lattice parameters and positions (GGA-PBE), the powder XRD pattern of CsRe3Sn5 was calculated for Cu Kα.
No peak broadening, texture or thermal motion is included.

Top 12 peaks for 2θ = 10–90°, low angle first:
2theta, d [Å], Rel. int.
18.6, 4.766, 24
20.9, 4.256, 21
26.4, 3.370, 31
32.6, 2.744, 29
37.7, 2.389, 35
37.8, 2.378, 42
39.1, 2.306, 34
42.5, 2.128, 100
47.7, 1.905, 19
68.4, 1.372, 19
71.3, 1.323, 22
80.8, 1.190, 25

Crystal structure
```
data_CsRe3Sn5
_chemical_formula_sum 'Cs1 Re3 Sn5'
_space_group_name_H-M_alt 'P 1'
_space_group_IT_number 1
_space_group_name_Hall 'P 1'
_cell_length_a 5.4885
_cell_length_b 5.4885
_cell_length_c 9.5563
_cell_angle_alpha 90.00
_cell_angle_beta 90.00
_cell_angle_gamma 120.00
loop_
_atom_site_label
_atom_site_type_symbol
_atom_site_fract_x
_atom_site_fract_y
_atom_site_fract_z
Cs1 Cs 0.0000 0.0000 0.0000
Re1 Re 0.0000 0.5000 0.5000
Re2 Re 0.5000 0.0000 0.5000
Re3 Re 0.5000 0.5000 0.5000
Sn1 Sn 0.0000 0.0000 0.5000
Sn2 Sn 0.3333 0.6667 0.2492
Sn3 Sn 0.3333 0.6667 0.7508
Sn4 Sn 0.6667 0.3333 0.2492
Sn5 Sn 0.6667 0.3333 0.7508
```

Please write out number 6 again, unchanged.
Starting from DFT lattice parameters and positions (GGA-PBE), the powder XRD pattern of CsRe3Sn5 was calculated for Cu Kα.
No peak broadening, texture or thermal motion is included.

Top 12 peaks for 2θ = 10–90°, low angle first:
2theta, d [Å], Rel. int.
18.6, 4.766, 24
20.9, 4.256, 21
26.4, 3.370, 31
32.6, 2.744, 29
37.7, 2.389, 35
37.8, 2.378, 42
39.1, 2.306, 34
42.5, 2.128, 100
47.7, 1.905, 19
68.4, 1.372, 19
71.3, 1.323, 22
80.8, 1.190, 25

Crystal structure
```
data_CsRe3Sn5
_chemical_formula_sum 'Cs1 Re3 Sn5'
_space_group_name_H-M_alt 'P 1'
_space_group_IT_number 1
_space_group_name_Hall 'P 1'
_cell_length_a 5.4885
_cell_length_b 5.4885
_cell_length_c 9.5563
_cell_angle_alpha 90.00
_cell_angle_beta 90.00
_cell_angle_gamma 120.00
loop_
_atom_site_label
_atom_site_type_symbol
_atom_site_fract_x
_atom_site_fract_y
_atom_site_fract_z
Cs1 Cs 0.0000 0.0000 0.0000
Re1 Re 0.0000 0.5000 0.5000
Re2 Re 0.5000 0.0000 0.5000
Re3 Re 0.5000 0.5000 0.5000
Sn1 Sn 0.0000 0.0000 0.5000
Sn2 Sn 0.3333 0.6667 0.2492
Sn3 Sn 0.3333 0.6667 0.7508
Sn4 Sn 0.6667 0.3333 0.2492
Sn5 Sn 0.6667 0.3333 0.7508
```